For Cs2VRhS4, a structure optimized by DFT (PBE) gives the theoretical X-ray diffraction stick pattern in this record (λ = 1.5418 Å (Cu Kα)).

```
data_Cs2VRhS4
_chemical_formula_sum 'Cs4 V2 Rh2 S8'
_symmetry_space_group_name_H-M 'P 1'
_symmetry_Int_Tables_number 1
_symmetry_space_group_name_Hall 'P 1'
_cell_length_a 14.358
_cell_length_b 12.823
_cell_length_c 7.593
_cell_angle_alpha 85.31
_cell_angle_beta 62.88
_cell_angle_gamma 31.81
loop_
_atom_site_label
_atom_site_type_symbol
_atom_site_fract_x
_atom_site_fract_y
_atom_site_fract_z
_atom_site_occupancy
Cs1 Cs 0.051 0.051 0.699 1
Cs2 Cs 0.301 0.301 0.949 1
Cs3 Cs 0.699 0.699 0.051 1
Cs4 Cs 0.949 0.949 0.301 1
V1 V 0.125 0.125 0.125 1
V2 V 0.875 0.875 0.875 1
Rh1 Rh 0.375 0.375 0.375 1
Rh2 Rh 0.625 0.625 0.625 1
S1 S 0.035 0.315 0.395 1
S2 S 0.245 0.605 0.685 1
S3 S 0.315 0.035 0.755 1
S4 S 0.395 0.755 0.035 1
S5 S 0.605 0.245 0.965 1
S6 S 0.685 0.965 0.245 1
S7 S 0.755 0.395 0.315 1
S8 S 0.965 0.685 0.605 1
```

Top 8 peaks for 2θ = 10–90°, in order of falling intensity:
- d = 3.588 Å, 24.8 deg, I = 100.0
- d = 3.314 Å, 26.9 deg, I = 92.7
- d = 4.437 Å, 20.0 deg, I = 61.8
- d = 2.337 Å, 38.5 deg, I = 37.9
- d = 2.620 Å, 34.2 deg, I = 35.9
- d = 3.525 Å, 25.3 deg, I = 33.2
- d = 1.948 Å, 46.6 deg, I = 31.8
- d = 2.928 Å, 30.5 deg, I = 27.2